(1)
# La3Te4Br
Calculated powder XRD pattern, Cu Kα. Input: a GGA-PBE-relaxed structure.
No peak broadening, texture or thermal motion is included.

Largest 10 diffraction maxima, in order of rising 2θ, 2θ = 15–90°:
2θ (°), I (rel.)
28.8, 47
29.6, 100
29.7, 40
30.3, 38
32.6, 43
34.5, 29
37.7, 78
41.0, 47
56.7, 33
56.9, 37

a = 16.491 Å, b = 4.406 Å, c = 14.415 Å
α = 90.00°, β = 90.00°, γ = 90.00°
Space group Pnma (No. 62)
One atom of each set of equivalent atoms:
1 La 0.119 0.250 0.250 [4 per cell]
2 La 0.126 0.750 0.590 [4 per cell]
3 La 0.134 0.250 0.926 [4 per cell]
4 Te 0.024 0.750 0.388 [4 per cell]
5 Te 0.072 0.750 0.081 [4 per cell]
6 Te 0.217 0.250 0.452 [4 per cell]
7 Te 0.233 0.250 0.722 [4 per cell]
8 Br 0.068 0.750 0.797 [4 per cell]

***

(2)
# Li3Bi
Calculated powder XRD pattern, Cu Kα. Input: a GGA-PBE-relaxed structure.
No peak broadening, texture or thermal motion is included.

Largest 10 diffraction maxima, in order of rising 2θ, 2θ = 15–90°:
2θ (°), I (rel.)
22.9, 100
26.5, 53
37.8, 52
44.6, 54
46.7, 16
59.8, 23
61.6, 21
68.2, 19
73.0, 18
85.2, 18

a = 6.737 Å, b = 6.737 Å, c = 6.737 Å
α = 90.00°, β = 90.00°, γ = 90.00°
Space group Fm-3m (No. 225)
One atom of each set of equivalent atoms:
1 Li 0.000 0.000 0.000 [4 per cell]
2 Li 0.250 0.250 0.250 [8 per cell]
3 Bi 0.000 0.000 0.500 [4 per cell]

***

(3)
# ScTaFe2
Calculated powder XRD pattern, Cu Kα. Input: a GGA-PBE-relaxed structure.
No peak broadening, texture or thermal motion is included.

Largest 10 diffraction maxima, in order of rising 2θ, 2θ = 15–90°:
2θ (°), I (rel.)
25.1, 38
29.0, 12
41.5, 100
49.1, 20
51.4, 4
60.2, 16
66.2, 8
68.2, 5
75.7, 32
81.2, 7

a = 6.153 Å, b = 6.153 Å, c = 6.153 Å
α = 90.00°, β = 90.00°, γ = 90.00°
Space group Fm-3m (No. 225)
One atom of each set of equivalent atoms:
1 Sc 0.000 0.000 0.000 [4 per cell]
2 Ta 0.000 0.000 0.500 [4 per cell]
3 Fe 0.250 0.250 0.250 [8 per cell]

***

(4)
# NdSmTl2
Calculated powder XRD pattern, Cu Kα. Input: a GGA-PBE-relaxed structure.
No peak broadening, texture or thermal motion is included.

Largest 10 diffraction maxima, in order of rising 2θ, 2θ = 15–90°:
2θ (°), I (rel.)
22.8, 3
32.5, 100
40.1, 1
46.7, 19
52.6, 1
58.0, 39
68.1, 12
72.9, 1
77.6, 17
86.7, 4

a = 7.784 Å, b = 7.784 Å, c = 7.784 Å
α = 90.00°, β = 90.00°, γ = 90.00°
Space group Fm-3m (No. 225)
One atom of each set of equivalent atoms:
1 Nd 0.000 0.000 0.000 [4 per cell]
2 Sm 0.000 0.000 0.500 [4 per cell]
3 Tl 0.250 0.250 0.250 [8 per cell]

***

(5)
# BiTeN
Calculated powder XRD pattern, Cu Kα. Input: a GGA-PBE-relaxed structure.
No peak broadening, texture or thermal motion is included.

Largest 10 diffraction maxima, in order of rising 2θ, 2θ = 15–90°:
2θ (°), I (rel.)
17.9, 25
23.6, 20
26.9, 11
28.3, 100
31.1, 54
41.6, 20
42.7, 15
44.5, 24
53.6, 35
87.1, 13

a = 4.073 Å, b = 4.073 Å, c = 9.926 Å
α = 90.00°, β = 90.00°, γ = 90.00°
Space group P4/nmm (No. 129, origin choice 2)
One atom of each set of equivalent atoms:
1 Bi 0.250 0.250 0.112 [2 per cell]
2 Te 0.250 0.250 0.546 [2 per cell]
3 N 0.250 0.750 0.000 [2 per cell]

***

(6)
# BiB3O6
Calculated powder XRD pattern, Cu Kα. Input: a GGA-PBE-relaxed structure.
No peak broadening, texture or thermal motion is included.

Largest 10 diffraction maxima, in order of rising 2θ, 2θ = 15–90°:
2θ (°), I (rel.)
18.1, 89
22.6, 56
23.9, 100
24.7, 40
26.2, 87
28.0, 74
28.6, 81
30.9, 50
44.0, 36
48.3, 36

a = 4.467 Å, b = 6.807 Å, c = 14.114 Å
α = 90.00°, β = 95.40°, γ = 90.00°
Space group P2_1/c (No. 14)
One atom of each set of equivalent atoms:
1 Bi 0.220 0.201 0.069 [4 per cell]
2 B 0.120 0.084 0.360 [4 per cell]
3 B 0.170 0.687 0.748 [4 per cell]
4 B 0.344 0.744 0.088 [4 per cell]
5 O 0.062 0.183 0.267 [4 per cell]
6 O 0.158 0.567 0.093 [4 per cell]
7 O 0.229 0.616 0.841 [4 per cell]
8 O 0.238 0.628 0.506 [4 per cell]
9 O 0.341 0.192 0.426 [4 per cell]
10 O 0.342 0.635 0.676 [4 per cell]

***

(7)
# Fe3SiN4
Calculated powder XRD pattern, Cu Kα. Input: a GGA-PBE-relaxed structure.
No peak broadening, texture or thermal motion is included.

Largest 10 diffraction maxima, in order of rising 2θ, 2θ = 15–90°:
2θ (°), I (rel.)
18.4, 100
34.5, 35
34.8, 35
35.3, 89
37.5, 37
38.6, 34
39.1, 68
43.9, 45
46.5, 42
62.7, 46

a = 10.322 Å, b = 5.843 Å, c = 5.440 Å
α = 90.00°, β = 90.00°, γ = 90.00°
Space group Pnma (No. 62)
One atom of each set of equivalent atoms:
1 Fe 0.062 0.250 0.146 [4 per cell]
2 Fe 0.160 0.527 0.858 [8 per cell]
3 Si 0.090 0.750 0.327 [4 per cell]
4 N 0.068 0.250 0.793 [4 per cell]
5 N 0.085 0.750 0.647 [4 per cell]
6 N 0.169 0.507 0.217 [8 per cell]

***

(8)
# KAlH3
Calculated powder XRD pattern, Cu Kα. Input: a GGA-PBE-relaxed structure.
No peak broadening, texture or thermal motion is included.

Largest 9 diffraction maxima, in order of rising 2θ, 2θ = 15–90°:
2θ (°), I (rel.)
22.3, 4
31.8, 100
39.2, 2
45.6, 19
51.3, 1
56.6, 34
66.4, 11
75.5, 14
84.2, 4

a = 3.982 Å, b = 3.982 Å, c = 3.982 Å
α = 90.00°, β = 90.00°, γ = 90.00°
Space group Pm-3m (No. 221)
One atom of each set of equivalent atoms:
1 K 0.000 0.000 0.000 [1 per cell]
2 Al 0.500 0.500 0.500 [1 per cell]
3 H 0.000 0.500 0.500 [3 per cell]